Record 1
Calculated PXRD pattern
Compound: InCoP
Radiation: Cu Ka
Structure: a DFT-relaxed cell (GGA-PBE, Alexandria)
No peak broadening, texture or thermal motion is included.

Principal peaks in the range 10° ≤ 2θ ≤ 80°, by intensity:
hkl  two_theta  d_spacing  I_rel
1 1 0  32.45  2.759  100.0
1 1 -1  33.52  2.673  94.3
0 1 2  43.57  2.077  77.1
2 0 0  33.04  2.711  58.4
1 1 1  39.27  2.294  50.4
2 1 -2  47.02  1.933  48.9
1 0 -1  18.31  4.846  47.9
3 1 0  58.64  1.574  44.6
2 0 -1  30.92  2.892  36.8
0 0 2  32.84  2.727  34.9

Crystal structure
```
data_InCoP
_chemical_formula_sum 'In2 Co2 P2'
_symmetry_space_group_name_H-M 'P 1 m 1'
_symmetry_Int_Tables_number 6
_symmetry_space_group_name_Hall 'P -2y'
_cell_length_a 5.8368
_cell_length_b 3.2050
_cell_length_c 5.8719
_cell_angle_alpha 90.00
_cell_angle_beta 111.74
_cell_angle_gamma 90.00
loop_
_atom_site_label
_atom_site_fract_x
_atom_site_fract_y
_atom_site_fract_z
In1 0.0000 0.0000 0.0000
In2 0.4895 0.5000 0.8446
Co1 0.3156 0.0000 0.4465
Co2 0.8669 0.5000 0.3072
P1 0.5041 0.5000 0.3364
P2 0.9940 0.0000 0.5623
```


Record 2
Calculated PXRD pattern
Compound: InCoP
Radiation: Cu Ka
Structure: a DFT-relaxed cell (GGA-PBE, Alexandria)
No peak broadening, texture or thermal motion is included.

Principal peaks in the range 10° ≤ 2θ ≤ 80°, by intensity:
hkl  two_theta  d_spacing  I_rel
1 1 1  33.54  2.672  100.0
1 1 0  27.11  3.289  86.8
4 0 -1  33.00  2.714  70.4
3 1 -2  47.58  1.911  67.0
3 1 1  42.00  2.151  56.2
3 1 -1  37.46  2.401  50.7
0 0 2  36.18  2.483  49.5
5 1 0  47.95  1.897  44.4
0 2 0  53.32  1.718  36.2
4 0 1  39.55  2.279  35.3

Crystal structure
```
data_InCoP
_chemical_formula_sum 'In4 Co4 P4'
_symmetry_space_group_name_H-M 'C 1 m 1'
_symmetry_Int_Tables_number 8
_symmetry_space_group_name_Hall 'C -2y'
_cell_length_a 11.6129
_cell_length_b 3.4362
_cell_length_c 5.0683
_cell_angle_alpha 90.00
_cell_angle_beta 101.58
_cell_angle_gamma 90.00
loop_
_atom_site_label
_atom_site_fract_x
_atom_site_fract_y
_atom_site_fract_z
In1 0.0000 0.0000 0.0000
In2 0.2400 0.5000 0.0847
Co1 0.0823 0.5000 0.4025
Co2 0.3085 0.5000 0.6083
P1 0.1708 0.0000 0.6318
P2 0.4127 0.0000 0.5106
```


Record 3
Calculated PXRD pattern
Compound: InCo2Pb
Radiation: Cu Ka
Structure: a DFT-relaxed cell (GGA-PBE, Alexandria)
No peak broadening, texture or thermal motion is included.

Principal peaks in the range 10° ≤ 2θ ≤ 80°, by intensity:
hkl  two_theta  d_spacing  I_rel
1 0 1  30.94  2.890  100.0
1 0 2  36.86  2.438  91.7
1 1 0  41.07  2.198  71.6
1 0 3  45.25  2.004  44.3
1 1 3  54.48  1.684  31.5
0 0 3  34.20  2.622  29.8
0 0 2  22.61  3.933  26.8
2 1 2  72.07  1.310  25.4
2 0 0  59.49  1.554  23.5
2 1 1  68.57  1.369  21.4

Crystal structure
```
data_InCo2Pb
_chemical_formula_sum 'In1 Co2 Pb1'
_symmetry_space_group_name_H-M 'P 4 m m'
_symmetry_Int_Tables_number 99
_symmetry_space_group_name_Hall 'P 4 -2'
_cell_length_a 3.1078
_cell_length_b 3.1078
_cell_length_c 7.8650
_cell_angle_alpha 90.00
_cell_angle_beta 90.00
_cell_angle_gamma 90.00
loop_
_atom_site_label
_atom_site_fract_x
_atom_site_fract_y
_atom_site_fract_z
In1 0.0000 0.0000 0.0000
Co1 0.0000 0.0000 0.6412
Co2 0.5000 0.5000 0.7756
Pb1 0.5000 0.5000 0.3911
```


Record 4
Calculated PXRD pattern
Compound: Pm2In8Co
Radiation: Cu Ka
Structure: a DFT-relaxed cell (GGA-PBE, Alexandria)
No peak broadening, texture or thermal motion is included.

Principal peaks in the range 10° ≤ 2θ ≤ 80°, by intensity:
hkl  two_theta  d_spacing  I_rel
1 1 3  35.04  2.561  100.0
2 0 0  38.86  2.318  57.7
1 1 2  30.91  2.893  48.9
2 0 5  54.37  1.687  30.3
3 1 3  67.90  1.380  27.6
0 0 5  36.50  2.462  24.4
2 2 0  56.12  1.639  19.2
1 1 8  67.22  1.393  16.4
2 2 5  68.82  1.364  14.7
3 1 2  65.46  1.426  11.1

Crystal structure
```
data_Pm2In8Co
_chemical_formula_sum 'Pm2 In8 Co1'
_symmetry_space_group_name_H-M 'P 4/m m m'
_symmetry_Int_Tables_number 123
_symmetry_space_group_name_Hall '-P 4 2'
_cell_length_a 4.6353
_cell_length_b 4.6353
_cell_length_c 12.3083
_cell_angle_alpha 90.00
_cell_angle_beta 90.00
_cell_angle_gamma 90.00
loop_
_atom_site_label
_atom_site_fract_x
_atom_site_fract_y
_atom_site_fract_z
Pm1 0.0000 0.0000 0.1940
In1 0.0000 0.5000 0.0000
In2 0.0000 0.5000 0.3829
In3 0.5000 0.5000 0.1919
Co1 0.0000 0.0000 0.5000
```


Record 5
Calculated PXRD pattern
Compound: Pm4In16Co3
Radiation: Cu Ka
Structure: a DFT-relaxed cell (GGA-PBE, Alexandria)
No peak broadening, texture or thermal motion is included.

Principal peaks in the range 10° ≤ 2θ ≤ 80°, by intensity:
hkl  two_theta  d_spacing  I_rel
2 0 3  34.89  2.571  100.0
2 2 0  38.58  2.333  69.7
2 0 2  30.74  2.908  55.0
2 2 5  54.16  1.693  36.9
0 0 5  36.51  2.461  30.4
4 2 3  67.44  1.389  26.2
4 0 0  55.71  1.650  22.6
4 0 5  68.46  1.371  17.4
2 0 4  40.07  2.250  16.4
2 0 8  67.13  1.394  15.1

Crystal structure
```
data_Pm4In16Co3
_chemical_formula_sum 'Pm4 In16 Co3'
_symmetry_space_group_name_H-M 'P 4/m m m'
_symmetry_Int_Tables_number 123
_symmetry_space_group_name_Hall '-P 4 2'
_cell_length_a 6.6001
_cell_length_b 6.6001
_cell_length_c 12.3066
_cell_angle_alpha 90.00
_cell_angle_beta 90.00
_cell_angle_gamma 90.00
loop_
_atom_site_label
_atom_site_fract_x
_atom_site_fract_y
_atom_site_fract_z
Pm1 0.0000 0.5000 0.1961
In1 0.0000 0.0000 0.1953
In2 0.2282 0.2282 0.0000
In3 0.2495 0.2495 0.3834
In4 0.5000 0.5000 0.2096
Co1 0.0000 0.5000 0.5000
Co2 0.5000 0.5000 0.0000
```


Record 6
Calculated PXRD pattern
Compound: Pr3InCo
Radiation: Cu Ka
Structure: a DFT-relaxed cell (GGA-PBE, Alexandria)
No peak broadening, texture or thermal motion is included.

Principal peaks in the range 10° ≤ 2θ ≤ 80°, by intensity:
hkl  two_theta  d_spacing  I_rel
1 1 1  28.34  3.149  100.0
2 1 -2  35.33  2.540  60.4
1 0 -3  30.09  2.970  49.6
1 0 3  33.98  2.638  41.1
2 1 0  31.50  2.840  35.8
3 0 -1  31.04  2.881  29.2
1 1 -3  38.49  2.339  25.6
3 0 0  31.35  2.853  25.0
0 2 0  47.93  1.898  24.4
3 0 1  34.82  2.576  20.0

Crystal structure
```
data_Pr3InCo
_chemical_formula_sum 'Pr6 In2 Co2'
_symmetry_space_group_name_H-M 'P 1 21/m 1'
_symmetry_Int_Tables_number 11
_symmetry_space_group_name_Hall '-P 2yb'
_cell_length_a 8.7174
_cell_length_b 3.7959
_cell_length_c 9.0203
_cell_angle_alpha 90.00
_cell_angle_beta 100.95
_cell_angle_gamma 90.00
loop_
_atom_site_label
_atom_site_fract_x
_atom_site_fract_y
_atom_site_fract_z
Pr1 0.0706 0.2500 0.2358
Pr2 0.2954 0.2500 0.9323
Pr3 0.3035 0.7500 0.5813
In1 0.4013 0.7500 0.2396
Co1 0.0436 0.2500 0.5658
```